Theoretical powder diffractogram
Compound: LiBr
Radiation: Cu Kα (weighted mean of Kα1 and Kα2)
Structure: a GGA-PBE-relaxed structure

Crystal structure
abc: 5.513 5.513 5.513
angles: 90.00 90.00 90.00
Space group Fm-3m (No. 225)
Unique sites:
Li 0.000 0.000 0.000
Br 0.000 0.000 0.500

Peak list (6 most intense, 2θ = 5–70°, sorted by position)
2θ = 28.03°, rel. 100; 2θ = 32.48°, rel. 65; 2θ = 46.59°, rel. 46; 2θ = 55.26°, rel. 43; 2θ = 57.94°, rel. 16; 2θ = 68.02°, rel. 7


Theoretical powder diffractogram
Compound: BaNaNdSi3O9
Radiation: Cu Kα (weighted mean of Kα1 and Kα2)
Structure: a GGA-PBE-relaxed structure

Crystal structure
abc: 5.732 11.692 12.763
angles: 90.00 90.00 90.00
Space group P2_12_12_1 (No. 19)
Unique sites:
Ba 0.104 0.118 0.080
Na 0.065 0.787 0.104
Nd 0.113 0.472 0.140
Si 0.095 0.846 0.856
Si 0.101 0.196 0.813
Si 0.101 0.587 0.877
O 0.005 0.499 0.963
O 0.036 0.440 0.572
O 0.089 0.318 0.744
O 0.099 0.096 0.719
O 0.108 0.722 0.925
O 0.127 0.688 0.612
O 0.142 0.127 0.316
O 0.147 0.442 0.325
O 0.157 0.816 0.377

Peak list (8 most intense, 2θ = 5–70°, sorted by position)
2θ = 22.82°, rel. 66; 2θ = 25.87°, rel. 56; 2θ = 27.19°, rel. 53; 2θ = 27.96°, rel. 62; 2θ = 28.57°, rel. 100; 2θ = 31.09°, rel. 74; 2θ = 32.00°, rel. 69; 2θ = 39.71°, rel. 52


Theoretical powder diffractogram
Compound: Be5Co
Radiation: Cu Kα (weighted mean of Kα1 and Kα2)
Structure: a GGA-PBE-relaxed structure

Crystal structure
abc: 5.766 5.766 5.766
angles: 90.00 90.00 90.00
Space group F-43m (No. 216)
Unique sites:
Be 0.000 0.000 0.000
Be 0.124 0.124 0.624
Co 0.250 0.250 0.250

Peak list (6 most intense, 2θ = 5–70°, sorted by position)
2θ = 26.78°, rel. 100; 2θ = 31.02°, rel. 56; 2θ = 44.44°, rel. 60; 2θ = 52.65°, rel. 78; 2θ = 55.18°, rel. 16; 2θ = 64.66°, rel. 4


Theoretical powder diffractogram
Compound: Hg3Sb
Radiation: Cu Kα (weighted mean of Kα1 and Kα2)
Structure: a GGA-PBE-relaxed structure

Crystal structure
abc: 6.4791 6.4791 5.7786
angles: 90.00 90.00 120.00
Space group P6_3/mmc (No. 194)
Unique sites:
Hg 0.1677 0.3355 0.2500
Sb 0.3333 0.6667 0.7500

Peak list (8 most intense, 2θ = 5–70°, sorted by position)
2θ = 30.95°, rel. 32; 2θ = 31.90°, rel. 22; 2θ = 35.57°, rel. 100; 2θ = 45.04°, rel. 17; 2θ = 56.84°, rel. 18; 2θ = 58.09°, rel. 25; 2θ = 66.14°, rel. 22; 2θ = 68.88°, rel. 15


Theoretical powder diffractogram
Compound: K2LiS2O4F2
Radiation: Cu Kα (weighted mean of Kα1 and Kα2)
Structure: a GGA-PBE-relaxed structure

Crystal structure
abc: 5.081 5.592 7.888
angles: 90.00 108.42 90.00
Space group Pm (No. 6)
Unique sites:
K 0.000 0.000 0.000
K 0.173 0.500 0.580
Li 0.659 0.000 0.253
S 0.529 0.500 0.192
S 0.618 0.000 0.575
O 0.502 0.279 0.082
O 0.763 0.226 0.666
F 0.021 0.000 0.327
F 0.203 0.500 0.220

Peak list (8 most intense, 2θ = 5–70°, sorted by position)
2θ = 23.78°, rel. 52; 2θ = 24.41°, rel. 100; 2θ = 25.10°, rel. 16; 2θ = 28.71°, rel. 22; 2θ = 29.68°, rel. 54; 2θ = 32.01°, rel. 20; 2θ = 35.33°, rel. 27; 2θ = 38.53°, rel. 20


Theoretical powder diffractogram
Compound: Na3YF6
Radiation: Cu Kα (weighted mean of Kα1 and Kα2)
Structure: a GGA-PBE-relaxed structure

Crystal structure
abc: 8.770 8.770 8.770
angles: 90.00 90.00 90.00
Space group Fm-3m (No. 225)
Unique sites:
Na 0.000 0.000 0.000
Na 0.250 0.250 0.250
Y 0.000 0.000 0.500
F 0.000 0.000 0.253

Peak list (8 most intense, 2θ = 5–70°, sorted by position)
2θ = 17.52°, rel. 70; 2θ = 20.25°, rel. 92; 2θ = 28.79°, rel. 100; 2θ = 33.90°, rel. 36; 2θ = 41.17°, rel. 94; 2θ = 46.30°, rel. 37; 2θ = 51.02°, rel. 41; 2θ = 59.64°, rel. 54